For ThInPd6, a structure optimized by DFT (GGA-PBE) gives the computed PXRD pattern in this record (Cu Ka).
Peak positions follow from Bragg's law for the DFT cell and can differ from measured ones.

Crystal structure
```
ThInPd6
1.0
4.162 0.000 0.000
0.000 4.162 0.000
0.000 0.000 8.146
Th In Pd
1 1 6
Direct
0.000 0.000 0.000
0.000 0.000 0.500
0.000 0.500 0.257
0.000 0.500 0.743
0.500 0.000 0.257
0.500 0.000 0.743
0.500 0.500 0.000
0.500 0.500 0.500
```

Largest 6 diffraction maxima, most intense first, 10° ≤ 2θ ≤ 90°:
- 37.71 deg, I 100, (1 1 2)
- 43.49 deg, I 33, (2 0 0)
- 75.99 deg, I 25, (3 1 2)
- 63.97 deg, I 21, (2 0 4)
- 44.49 deg, I 15, (0 0 4)
- 77.42 deg, I 12, (1 1 6)